For MgMn2Mo2O8, DFT lattice parameters and positions (PBE+U) gives the computed powder diffractogram in this record (Cu Ka).

Atomic structure:
```
data_MgMn2Mo2O8
_chemical_formula_sum 'Mg1 Mn2 Mo2 O8'
_cell_length_a 5.260
_cell_length_b 5.361
_cell_length_c 6.194
_cell_angle_alpha 83.35
_cell_angle_beta 82.61
_cell_angle_gamma 76.25
_space_group_name_H-M_alt 'P 1'
_space_group_IT_number 1
_space_group_name_Hall 'P 1'
loop_
_atom_site_label
_atom_site_type_symbol
_atom_site_fract_x
_atom_site_fract_y
_atom_site_fract_z
Mg1 Mg 0.000 0.000 0.000
Mn1 Mn 0.751 0.609 0.935
Mn2 Mn 0.820 0.139 0.535
Mo1 Mo 0.320 0.646 0.514
Mo2 Mo 0.358 0.192 0.224
O1 O 0.044 0.821 0.735
O2 O 0.101 0.329 0.026
O3 O 0.117 0.395 0.478
O4 O 0.123 0.907 0.290
O5 O 0.515 0.965 0.467
O6 O 0.553 0.462 0.239
O7 O 0.578 0.479 0.692
O8 O 0.626 0.996 0.016
```

Principal peaks in the range 2θ = 10–80°, low angle first:
2θ/deg, I_rel, hkl
14.48, 45, 0 0 1
21.51, 100, 1 0 1
23.91, 36, 1 0 -1
24.07, 34, 1 1 1
27.90, 71, 1 1 -1
30.79, 40, 1 -1 1
31.10, 50, -1 1 1
40.08, 34, 1 -1 2
40.57, 34, -1 1 2
56.10, 33, 2 -2 0